Theoretical X-ray diffraction stick pattern of KMg for Cu Kα, 1.54184 Å, from a DFT-relaxed cell (GGA-PBE, Alexandria).
Lines closer than 0.1° are merged.

Largest 10 diffraction maxima, by intensity, 2θ from 10° to 80°:
Position (°2θ)	d/Å	Rel. int.
25.64	3.474	100
25.12	3.545	89
30.90	2.893	83
26.18	3.404	73
31.11	2.875	55
42.29	2.137	51
47.10	1.929	37
38.43	2.342	32
32.19	2.781	29
45.21	2.006	28

Cell and atoms:
abc: 8.9534 8.9534 8.9534
angles: 149.67 59.65 129.96
Positions (direct):
K (0.0000, 0.0000, 0.0000)
K (0.5740, 0.2808, 0.2932)
K (0.9876, 0.2808, 0.7068)
Mg (0.2336, 0.8329, 0.4006)
Mg (0.4323, 0.8329, 0.5994)
Mg (0.5065, 0.5065, 0.0000)

Theoretical X-ray diffraction stick pattern of K3Ce3ZnO8 for Cu Kα, 1.54184 Å, from a DFT-relaxed cell (GGA-PBE, Alexandria).
Lines closer than 0.1° are merged.

Largest 10 diffraction maxima, by intensity, 2θ from 10° to 80°:
Position (°2θ)	d/Å	Rel. int.
14.14	6.263	100
35.20	2.550	94
30.96	2.889	59
29.81	2.997	33
52.19	1.753	30
28.50	3.131	29
49.04	1.858	29
60.54	1.529	21
45.09	2.011	21
54.36	1.688	19

Cell and atoms:
abc: 7.0086 7.0086 7.4579
angles: 118.04 118.04 60.05
Positions (direct):
K (0.0000, 0.0000, 0.0000)
K (0.0000, 0.5000, 0.0000)
K (0.5000, 0.0000, 0.0000)
Ce (0.0000, 0.5000, 0.5000)
Ce (0.5000, 0.0000, 0.5000)
Ce (0.5000, 0.5000, 0.5000)
Zn (0.0000, 0.0000, 0.5000)
O (0.2229, 0.2229, 0.6733)
O (0.2241, 0.7262, 0.6741)
O (0.2698, 0.2698, 0.3099)
O (0.2738, 0.7759, 0.3259)
O (0.7262, 0.2241, 0.6741)
O (0.7302, 0.7302, 0.6901)
O (0.7759, 0.2738, 0.3259)
O (0.7771, 0.7771, 0.3267)

Theoretical X-ray diffraction stick pattern of Ac3In11 for Cu Kα, 1.54184 Å, from a DFT-relaxed cell (GGA-PBE, Alexandria).
Lines closer than 0.1° are merged.

Largest 10 diffraction maxima, by intensity, 2θ from 10° to 80°:
Position (°2θ)	d/Å	Rel. int.
30.31	2.949	100
29.55	3.023	43
37.29	2.411	29
36.98	2.431	23
53.54	1.712	17
43.20	2.094	15
32.09	2.789	14
62.97	1.476	12
26.03	3.424	12
54.46	1.685	11

Cell and atoms:
abc: 9.6278 9.6278 9.6278
angles: 150.99 105.82 81.53
Positions (direct):
Ac (0.0000, 0.0000, 0.0000)
Ac (0.3193, 0.3193, 0.0000)
Ac (0.6807, 0.6807, 0.0000)
In (0.0363, 0.6612, 0.3751)
In (0.1300, 0.8545, 0.2755)
In (0.2861, 0.6612, 0.6249)
In (0.2916, 0.5000, 0.7916)
In (0.4210, 0.1455, 0.2755)
In (0.5000, 0.0000, 0.5000)
In (0.5790, 0.8545, 0.7245)
In (0.7084, 0.5000, 0.2084)
In (0.7139, 0.3388, 0.3751)
In (0.8700, 0.1455, 0.7245)
In (0.9637, 0.3388, 0.6249)

Theoretical X-ray diffraction stick pattern of La5Ag4Rh for Cu Kα, 1.54184 Å, from a DFT-relaxed cell (GGA-PBE, Alexandria).
Lines closer than 0.1° are merged.

Largest 10 diffraction maxima, by intensity, 2θ from 10° to 80°:
Position (°2θ)	d/Å	Rel. int.
33.42	2.681	100
33.90	2.644	51
60.35	1.534	35
48.70	1.870	18
59.42	1.555	15
70.20	1.341	9
47.26	1.923	8
71.34	1.322	6
78.92	1.213	5
30.28	2.952	2

Cell and atoms:
abc: 3.7396 3.7396 19.2347
angles: 90.00 90.00 90.00
Positions (direct):
La (0.0000, 0.0000, 0.0000)
La (0.0000, 0.0000, 0.2060)
La (0.0000, 0.0000, 0.4138)
La (0.0000, 0.0000, 0.5862)
La (0.0000, 0.0000, 0.7940)
Ag (0.5000, 0.5000, 0.1032)
Ag (0.5000, 0.5000, 0.3061)
Ag (0.5000, 0.5000, 0.6939)
Ag (0.5000, 0.5000, 0.8968)
Rh (0.5000, 0.5000, 0.5000)

Theoretical X-ray diffraction stick pattern of K2TaHgS4 for Cu Kα, 1.54184 Å, from a DFT-relaxed cell (GGA-PBE, Alexandria).
Lines closer than 0.1° are merged.

Largest 10 diffraction maxima, by intensity, 2θ from 10° to 80°:
Position (°2θ)	d/Å	Rel. int.
27.13	3.286	100
15.72	5.637	96
42.97	2.105	63
22.95	3.876	52
32.68	2.740	36
27.94	3.194	35
50.29	1.814	22
52.82	1.733	18
43.52	2.080	17
42.06	2.148	17

Cell and atoms:
abc: 6.8487 6.8487 6.8487
angles: 111.07 111.07 106.32
Positions (direct):
K (0.0000, 0.0000, 0.0000)
K (0.7500, 0.2500, 0.5000)
Ta (0.5000, 0.5000, 0.0000)
Hg (0.2500, 0.7500, 0.5000)
S (0.1869, 0.1550, 0.6536)
S (0.4667, 0.8131, 0.9681)
S (0.5014, 0.5333, 0.3464)
S (0.8450, 0.4986, 0.0319)

Theoretical X-ray diffraction stick pattern of Ba4SrAs for Cu Kα, 1.54184 Å, from a DFT-relaxed cell (GGA-PBE, Alexandria).
Lines closer than 0.1° are merged.

Largest 10 diffraction maxima, by intensity, 2θ from 10° to 80°:
Position (°2θ)	d/Å	Rel. int.
27.88	3.200	100
29.15	3.064	57
44.35	2.043	37
48.52	1.876	35
57.61	1.600	24
67.82	1.382	24
14.45	6.128	23
23.71	3.752	14
33.78	2.653	13
56.89	1.619	13

Cell and atoms:
abc: 7.5050 7.5050 7.5050
angles: 60.00 60.00 60.00
Positions (direct):
Ba (0.3768, 0.3768, 0.3768)
Ba (0.3768, 0.3768, 0.8695)
Ba (0.3768, 0.8695, 0.3768)
Ba (0.8695, 0.3768, 0.3768)
Sr (0.0000, 0.0000, 0.0000)
As (0.7500, 0.7500, 0.7500)